This entry pairs a crystal structure of Sr5Cr3O12F with its simulated powder XRD pattern. Radiation: Cu Ka. Structure: a cell relaxed with GGA+U.
Neutral-atom scattering factors, no anomalous dispersion.

Most intense lines, 15 to 90 degrees two-theta, in order of rising 2θ:
h k l  Position (°2θ)  I (rel.)
0 0 2  24.3  15.2
1 2 0  26.9  23.1
1 2 1  29.6  100.0
1 1 2  30.1  69.1
3 0 0  30.6  40.2
2 2 2  43.5  35.2
1 2 3  46.2  32.7
3 2 1  46.9  15.1
4 1 0  47.6  18.7
3 0 4  59.6  14.9

Structure:
Cell lengths 10.1174, 10.1174, 7.3290 Å; angles 90.00, 90.00, 120.00 degrees
Fractional coordinates of all 42 atoms:
Sr (0.0010, 0.7639, 0.2500)
Sr (0.2361, 0.2370, 0.2500)
Sr (0.2370, 0.0010, 0.7500)
Sr (0.3333, 0.6667, 0.9998)
Sr (0.3333, 0.6667, 0.5002)
Sr (0.6667, 0.3333, 0.0002)
Sr (0.6667, 0.3333, 0.4998)
Sr (0.7630, 0.9990, 0.2500)
Sr (0.7639, 0.7630, 0.7500)
Sr (0.9990, 0.2361, 0.7500)
Cr (0.0264, 0.6242, 0.7500)
Cr (0.3758, 0.4022, 0.7500)
Cr (0.4022, 0.0264, 0.2500)
Cr (0.5978, 0.9736, 0.7500)
Cr (0.6242, 0.5978, 0.2500)
Cr (0.9736, 0.3758, 0.2500)
O (0.0897, 0.7437, 0.5638)
O (0.0897, 0.7437, 0.9362)
O (0.1253, 0.5256, 0.7500)
O (0.1699, 0.4781, 0.2500)
O (0.2563, 0.3460, 0.5638)
O (0.2563, 0.3460, 0.9362)
O (0.3082, 0.8301, 0.2500)
O (0.3460, 0.0897, 0.0638)
O (0.3460, 0.0897, 0.4362)
O (0.4003, 0.8747, 0.7500)
O (0.4744, 0.5997, 0.7500)
O (0.4781, 0.3082, 0.7500)
O (0.5219, 0.6918, 0.2500)
O (0.5256, 0.4003, 0.2500)
O (0.5997, 0.1253, 0.2500)
O (0.6540, 0.9103, 0.5638)
O (0.6540, 0.9103, 0.9362)
O (0.6918, 0.1699, 0.7500)
O (0.7437, 0.6540, 0.0638)
O (0.7437, 0.6540, 0.4362)
O (0.8301, 0.5219, 0.7500)
O (0.8747, 0.4744, 0.2500)
O (0.9103, 0.2563, 0.0638)
O (0.9103, 0.2563, 0.4362)
F (0.0000, 0.0000, 0.0000)
F (0.0000, 0.0000, 0.5000)